Ho10Te7S10: computed powder diffraction line list (Cu Kα, 1.54184 Å), based on a structure optimized by DFT (GGA-PBE).

Cell and atoms:
```
data_Ho10Te7S10
_chemical_formula_sum 'Ho10 Te7 S10'
_cell_length_a 7.624
_cell_length_b 9.623
_cell_length_c 11.405
_cell_angle_alpha 91.01
_cell_angle_beta 102.83
_cell_angle_gamma 111.46
_symmetry_space_group_name_H-M 'P 1'
_symmetry_Int_Tables_number 1
loop_
_symmetry_equiv_pos_as_xyz
'x,y,z'
loop_
_atom_site_label
_atom_site_type_symbol
_atom_site_fract_x
_atom_site_fract_y
_atom_site_fract_z
Ho1 Ho 0.000 0.000 0.000
Ho2 Ho 0.044 0.422 0.868
Ho3 Ho 0.174 0.212 0.599
Ho4 Ho 0.249 0.605 0.463
Ho5 Ho 0.379 0.395 0.194
Ho6 Ho 0.423 0.817 0.062
Ho7 Ho 0.597 0.612 0.806
Ho8 Ho 0.650 0.005 0.668
Ho9 Ho 0.773 0.812 0.394
Ho10 Ho 0.826 0.205 0.256
Te1 Te 0.061 0.757 0.823
Te2 Te 0.211 0.908 0.532
Te3 Te 0.363 0.060 0.239
Te4 Te 0.468 0.165 0.021
Te5 Te 0.593 0.289 0.764
Te6 Te 0.830 0.527 0.299
Te7 Te 0.955 0.652 0.041
S1 S 0.009 0.273 0.070
S2 S 0.021 0.143 0.790
S3 S 0.211 0.328 0.387
S4 S 0.212 0.489 0.675
S5 S 0.402 0.674 0.272
S6 S 0.414 0.544 0.992
S7 S 0.620 0.884 0.877
S8 S 0.624 0.729 0.588
S9 S 0.798 0.088 0.474
S10 S 0.803 0.933 0.185
```

Peak list (10 most intense, 10 to 90 degrees two-theta, by angle)
2θ (°)	intensity	h k l
17.9	48	1 0 -2
25.8	23	-2 1 2
27.3	12	1 2 -1
29.0	100	2 0 1
33.8	14	1 1 -4
36.4	12	0 2 -4
38.0	15	2 -1 3
38.1	13	3 0 -1
39.5	17	3 -3 0
43.5	18	1 3 2